No. 1
Structure and simulated powder XRD pattern of ZrSc2Si4Ag4 (DFT lattice parameters and positions (GGA-PBE); Cu Kα, 1.54184 Å).
No peak broadening, texture or thermal motion is included.

Principal peaks in the range 2θ from 15° to 90°, low angle first:
29.17°, I = 23
29.33°, I = 81
34.72°, I = 100
35.48°, I = 23
36.72°, I = 52
39.59°, I = 51
39.73°, I = 51
44.10°, I = 47
44.39°, I = 46
48.09°, I = 42
60.82°, I = 28
64.36°, I = 28

Cell lengths 7.8921, 7.8921, 7.8921 Å; angles 149.84, 128.52, 60.83 degrees
Fractional positions:
Zr 0.0000 0.0000 0.0000
Sc 0.3797 0.8797 0.5000
Sc 0.6203 0.1203 0.5000
Si 0.2148 0.2148 0.0000
Si 0.3218 0.5000 0.8218
Si 0.6782 0.5000 0.1782
Si 0.7852 0.7852 0.0000
Ag 0.0319 0.3302 0.7017
Ag 0.3714 0.6698 0.7017
Ag 0.6286 0.3302 0.2983
Ag 0.9681 0.6698 0.2983



No. 2
Structure and simulated powder XRD pattern of Sc2AgSn (DFT lattice parameters and positions (GGA-PBE); Cu Kα, 1.54184 Å).
No peak broadening, texture or thermal motion is included.

Principal peaks in the range 2θ from 15° to 90°, low angle first:
22.00°, I = 23
36.30°, I = 100
42.85°, I = 13
52.28°, I = 17
57.38°, I = 6
65.31°, I = 34
69.83°, I = 4
77.08°, I = 11
81.33°, I = 5
88.31°, I = 15

Cell lengths 4.9492, 4.9492, 4.9492 Å; angles 60.00, 60.00, 60.00 degrees
Fractional positions:
Sc 0.0000 0.0000 0.0000
Sc 0.2500 0.2500 0.2500
Ag 0.7500 0.7500 0.7500
Sn 0.5000 0.5000 0.5000



No. 3
Structure and simulated powder XRD pattern of TmScAg2Sn2 (DFT lattice parameters and positions (GGA-PBE); Cu Kα, 1.54184 Å).
No peak broadening, texture or thermal motion is included.

Principal peaks in the range 2θ from 15° to 90°, low angle first:
25.39°, I = 37
33.57°, I = 100
38.69°, I = 95
44.26°, I = 30
46.61°, I = 8
52.14°, I = 28
60.22°, I = 12
66.05°, I = 13
66.78°, I = 27
70.02°, I = 29
73.90°, I = 13
82.98°, I = 19

Cell lengths 4.6544, 4.6544, 7.1260 Å; angles 90.00, 90.00, 120.00 degrees
Fractional positions:
Tm 0.0000 0.0000 0.0000
Sc 0.0000 0.0000 0.5006
Ag 0.3333 0.6667 0.6847
Ag 0.6667 0.3333 0.1908
Sn 0.3333 0.6667 0.2848
Sn 0.6667 0.3333 0.7739



No. 4
Structure and simulated powder XRD pattern of YScAg2Sn2 (DFT lattice parameters and positions (GGA-PBE); Cu Kα, 1.54184 Å).
No peak broadening, texture or thermal motion is included.

Principal peaks in the range 2θ from 15° to 90°, low angle first:
23.25°, I = 42
26.91°, I = 8
38.42°, I = 100
45.39°, I = 21
47.53°, I = 3
55.47°, I = 17
60.94°, I = 9
62.70°, I = 4
69.49°, I = 34
74.39°, I = 6
82.31°, I = 11
86.99°, I = 7

Cell lengths 9.3725, 4.6846, 14.0540 Å; angles 90.00, 109.43, 90.00 degrees
Fractional positions:
Y 0.0000 0.0000 0.0000
Y 0.1237 0.5000 0.7468
Y 0.2496 0.0000 0.4974
Y 0.5023 0.0000 0.0001
Sc 0.3762 0.5000 0.2499
Sc 0.6265 0.5000 0.7483
Sc 0.7498 0.0000 0.4980
Sc 0.8760 0.5000 0.2501
Ag 0.0659 0.5000 0.1310
Ag 0.1875 0.0000 0.8738
Ag 0.3213 0.5000 0.6254
Ag 0.4421 0.0000 0.3711
Ag 0.5674 0.5000 0.1309
Ag 0.6862 0.0000 0.8684
Ag 0.8052 0.5000 0.6198
Ag 0.9312 0.0000 0.3712
Sn 0.1266 0.0000 0.2511
Sn 0.2526 0.5000 0.0032
Sn 0.3789 0.0000 0.7485
Sn 0.5026 0.5000 0.4956
Sn 0.6267 0.0000 0.2508
Sn 0.7510 0.5000 0.9991
Sn 0.8696 0.0000 0.7443
Sn 0.9950 0.5000 0.4964



No. 5
Structure and simulated powder XRD pattern of Sc6AgTe2 (DFT lattice parameters and positions (GGA-PBE); Cu Kα, 1.54184 Å).
No peak broadening, texture or thermal motion is included.

Principal peaks in the range 2θ from 15° to 90°, low angle first:
24.07°, I = 41
24.47°, I = 34
33.00°, I = 100
34.14°, I = 35
34.55°, I = 43
35.18°, I = 28
35.29°, I = 34
36.15°, I = 66
36.68°, I = 48
39.07°, I = 51
41.92°, I = 29
47.01°, I = 45

Cell lengths 20.3950, 3.8659, 10.7386 Å; angles 90.00, 90.00, 90.00 degrees
Fractional positions:
Sc 0.0100 0.2500 0.1089
Sc 0.0292 0.7500 0.3775
Sc 0.1073 0.2500 0.8288
Sc 0.1384 0.7500 0.0675
Sc 0.1615 0.2500 0.5372
Sc 0.2303 0.7500 0.7491
Sc 0.2697 0.2500 0.2491
Sc 0.3385 0.7500 0.0372
Sc 0.3616 0.2500 0.5675
Sc 0.3927 0.7500 0.3288
Sc 0.4708 0.2500 0.8775
Sc 0.4900 0.7500 0.6089
Sc 0.5100 0.2500 0.3911
Sc 0.5292 0.7500 0.1225
Sc 0.6073 0.2500 0.6712
Sc 0.6384 0.7500 0.4325
Sc 0.6615 0.2500 0.9628
Sc 0.7303 0.7500 0.7509
Sc 0.7697 0.2500 0.2509
Sc 0.8385 0.7500 0.4628
Sc 0.8616 0.2500 0.9325
Sc 0.8927 0.7500 0.1712
Sc 0.9708 0.2500 0.6225
Sc 0.9900 0.7500 0.8911
Ag 0.0761 0.7500 0.6428
Ag 0.4239 0.2500 0.1428
Ag 0.5761 0.7500 0.8572
Ag 0.9239 0.2500 0.3572
Te 0.1268 0.2500 0.2739
Te 0.2353 0.2500 0.9646
Te 0.2647 0.7500 0.4646
Te 0.3732 0.7500 0.7739
Te 0.6268 0.2500 0.2261
Te 0.7353 0.2500 0.5354
Te 0.7647 0.7500 0.0354
Te 0.8732 0.7500 0.7261



No. 6
Structure and simulated powder XRD pattern of SrSmAgTeSe2 (DFT lattice parameters and positions (GGA-PBE); Cu Kα, 1.54184 Å).
No peak broadening, texture or thermal motion is included.

Principal peaks in the range 2θ from 15° to 90°, low angle first:
26.90°, I = 18
29.14°, I = 50
32.13°, I = 29
32.36°, I = 100
34.43°, I = 10
40.85°, I = 33
43.08°, I = 24
44.33°, I = 16
49.93°, I = 15
54.74°, I = 13
63.53°, I = 11
71.47°, I = 10

Cell lengths 7.6341, 7.6341, 11.1446 Å; angles 90.00, 90.00, 148.07 degrees
Fractional positions:
Sr 0.2202 0.7798 0.7500
Sr 0.7798 0.2202 0.2500
Sm 0.0000 0.0000 0.0000
Sm 0.0000 0.0000 0.5000
Ag 0.4794 0.5206 0.2500
Ag 0.5206 0.4794 0.7500
Te 0.1041 0.8959 0.2500
Te 0.8959 0.1041 0.7500
Se 0.3664 0.6336 0.0646
Se 0.3664 0.6336 0.4354
Se 0.6336 0.3664 0.5646
Se 0.6336 0.3664 0.9354



No. 7
Structure and simulated powder XRD pattern of Ag8SnSe6 (DFT lattice parameters and positions (GGA-PBE); Cu Kα, 1.54184 Å).
No peak broadening, texture or thermal motion is included.

Principal peaks in the range 2θ from 15° to 90°, low angle first:
27.50°, I = 100
27.85°, I = 62
34.30°, I = 49
35.21°, I = 50
39.56°, I = 35
40.40°, I = 29
41.24°, I = 38
41.76°, I = 30
42.06°, I = 43
42.33°, I = 47
45.34°, I = 32
46.07°, I = 70

Cell lengths 8.0009, 7.8496, 11.0866 Å; angles 90.00, 90.00, 90.00 degrees
Fractional positions:
Ag 0.0000 0.1176 0.0000
Ag 0.0000 0.2195 0.4311
Ag 0.1926 0.0344 0.2233
Ag 0.1978 0.6622 0.1071
Ag 0.2087 0.6043 0.8165
Ag 0.2913 0.3957 0.3165
Ag 0.3022 0.3378 0.6071
Ag 0.3074 0.9656 0.7233
Ag 0.5000 0.7805 0.9311
Ag 0.5000 0.8824 0.5000
Ag 0.6926 0.9656 0.7233
Ag 0.6978 0.3378 0.6071
Ag 0.7087 0.3957 0.3165
Ag 0.7913 0.6043 0.8165
Ag 0.8022 0.6622 0.1071
Ag 0.8074 0.0344 0.2233
Sn 0.0000 0.7497 0.4747
Sn 0.5000 0.2503 0.9747
Se 0.0000 0.0065 0.6129
Se 0.0000 0.3144 0.1994
Se 0.0000 0.4913 0.6138
Se 0.0000 0.7885 0.9472
Se 0.2365 0.2519 0.8469
Se 0.2635 0.7481 0.3469
Se 0.5000 0.2115 0.4472
Se 0.5000 0.5087 0.1138
Se 0.5000 0.6856 0.6994
Se 0.5000 0.9935 0.1129
Se 0.7365 0.7481 0.3469
Se 0.7635 0.2519 0.8469



No. 8
Structure and simulated powder XRD pattern of SrTbAgTeSe2 (DFT lattice parameters and positions (GGA-PBE); Cu Kα, 1.54184 Å).
No peak broadening, texture or thermal motion is included.

Principal peaks in the range 2θ from 15° to 90°, low angle first:
27.12°, I = 17
29.33°, I = 50
32.41°, I = 31
32.58°, I = 100
34.72°, I = 10
41.11°, I = 34
43.36°, I = 23
44.63°, I = 16
50.34°, I = 16
55.16°, I = 14
63.98°, I = 10
72.74°, I = 9

Cell lengths 7.5917, 7.5917, 11.0506 Å; angles 90.00, 90.00, 148.09 degrees
Fractional positions:
Sr 0.2204 0.7796 0.7500
Sr 0.7796 0.2204 0.2500
Tb 0.0000 0.0000 0.0000
Tb 0.0000 0.0000 0.5000
Ag 0.4778 0.5222 0.2500
Ag 0.5222 0.4778 0.7500
Te 0.1033 0.8967 0.2500
Te 0.8967 0.1033 0.7500
Se 0.3675 0.6325 0.0612
Se 0.3675 0.6325 0.4388
Se 0.6325 0.3675 0.5612
Se 0.6325 0.3675 0.9388



No. 9
Structure and simulated powder XRD pattern of TaTlAgTe2Se (DFT lattice parameters and positions (GGA-PBE); Cu Kα, 1.54184 Å).
No peak broadening, texture or thermal motion is included.

Principal peaks in the range 2θ from 15° to 90°, low angle first:
20.48°, I = 34
28.49°, I = 40
28.66°, I = 32
29.77°, I = 100
33.33°, I = 88
34.28°, I = 68
38.63°, I = 28
38.87°, I = 45
40.86°, I = 37
46.08°, I = 34
52.59°, I = 30
58.67°, I = 29

Cell lengths 7.9975, 7.9975, 10.4639 Å; angles 90.00, 90.00, 151.48 degrees
Fractional positions:
Ta 0.0000 0.0000 0.0000
Ta 0.0000 0.0000 0.5000
Tl 0.2496 0.7504 0.7500
Tl 0.7504 0.2496 0.2500
Ag 0.4558 0.5442 0.2500
Ag 0.5442 0.4558 0.7500
Te 0.3672 0.6328 0.0274
Te 0.3672 0.6328 0.4726
Te 0.6328 0.3672 0.5274
Te 0.6328 0.3672 0.9726
Se 0.0669 0.9331 0.2500
Se 0.9331 0.0669 0.7500



No. 10
Structure and simulated powder XRD pattern of TbAgTeSe (DFT lattice parameters and positions (GGA-PBE); Cu Kα, 1.54184 Å).
No peak broadening, texture or thermal motion is included.

Principal peaks in the range 2θ from 15° to 90°, low angle first:
23.71°, I = 36
26.48°, I = 41
27.52°, I = 75
32.68°, I = 100
34.38°, I = 75
34.98°, I = 68
36.01°, I = 48
38.12°, I = 57
44.06°, I = 73
44.30°, I = 26
44.97°, I = 27
52.70°, I = 31

Cell lengths 6.9721, 6.9721, 4.4588 Å; angles 90.00, 90.00, 94.76 degrees
Fractional positions:
Tb 0.0000 0.0000 0.0000
Tb 0.5000 0.5000 0.3773
Ag 0.0000 0.5000 0.1504
Ag 0.5000 0.0000 0.1504
Te 0.2074 0.7926 0.4885
Te 0.7926 0.2074 0.4885
Se 0.2990 0.2990 0.9009
Se 0.7010 0.7010 0.9009



No. 11
Structure and simulated powder XRD pattern of Tb2Ag2Te3Se (DFT lattice parameters and positions (GGA-PBE); Cu Kα, 1.54184 Å).
No peak broadening, texture or thermal motion is included.

Principal peaks in the range 2θ from 15° to 90°, low angle first:
26.23°, I = 87
26.61°, I = 42
26.89°, I = 65
32.01°, I = 100
32.25°, I = 47
34.28°, I = 62
35.21°, I = 41
35.36°, I = 95
36.93°, I = 82
43.27°, I = 54
43.55°, I = 77
52.06°, I = 43

Cell lengths 7.0336, 7.0336, 4.5722 Å; angles 90.41, 90.41, 92.41 degrees
Fractional positions:
Tb 0.0000 0.0000 0.0000
Tb 0.5275 0.5275 0.3747
Ag 0.0253 0.5194 0.2034
Ag 0.5194 0.0253 0.2034
Te 0.2194 0.2194 0.4886
Te 0.3161 0.7271 0.8905
Te 0.7271 0.3161 0.8905
Se 0.8157 0.8157 0.4737



No. 12
Structure and simulated powder XRD pattern of ZrTlAgTeSe2 (DFT lattice parameters and positions (GGA-PBE); Cu Kα, 1.54184 Å).
No peak broadening, texture or thermal motion is included.

Principal peaks in the range 2θ from 15° to 90°, low angle first:
22.50°, I = 35
26.06°, I = 37
28.70°, I = 91
30.91°, I = 100
31.79°, I = 79
33.25°, I = 72
34.48°, I = 52
35.25°, I = 74
35.67°, I = 33
43.07°, I = 29
45.23°, I = 54
50.04°, I = 34

Cell lengths 8.3831, 4.0092, 10.2895 Å; angles 90.00, 109.46, 90.00 degrees
Fractional positions:
Zr 0.1884 0.2500 0.1566
Zr 0.8116 0.7500 0.8434
Tl 0.2594 0.7500 0.7341
Tl 0.7406 0.2500 0.2659
Ag 0.4264 0.7500 0.3932
Ag 0.5736 0.2500 0.6068
Te 0.2117 0.2500 0.4432
Te 0.7883 0.7500 0.5568
Se 0.0502 0.2500 0.8736
Se 0.3979 0.7500 0.1309
Se 0.6021 0.2500 0.8691
Se 0.9498 0.7500 0.1264